[1]
# ZnSnGe2O6
Calculated powder X-ray diffraction pattern, Cu Ka. Input: a structure optimized by DFT (GGA-PBE).
Neutral-atom scattering factors, no anomalous dispersion.

Most intense lines, 15° ≤ 2θ ≤ 90°, most intense first:
2theta  Rel. int.
26.25  100
27.64  68
32.74  47
24.48  45
30.42  44
33.32  43
51.45  37
50.00  27
33.44  23
59.75  20

Structural model:
```
20
Lattice="5.3751 -5.1966 0.0000 5.3751 5.1966 0.0000 -1.8183 0.0000 5.3778" Properties=species:S:1:pos:R:3 pbc="T T T"
Zn 4.0114 2.6508 4.0334
Zn 4.9205 -2.6508 1.3445
Sn 4.9205 3.9107 1.3445
Sn 4.0114 -3.9107 4.0334
Ge 2.7414 0.9018 1.4744
Ge 1.8322 -0.9018 4.1633
Ge 7.0997 0.9018 1.2145
Ge 6.1905 -0.9018 3.9034
O 1.1224 1.3213 0.9334
O 3.6211 2.2847 2.1594
O 0.2133 -1.3213 3.6223
O 3.6741 0.4023 0.0187
O 6.2200 2.2847 0.5295
O 2.7649 -0.4023 2.7076
O 6.1670 0.4023 2.6702
O 2.7119 -2.2847 4.8483
O 5.2578 -0.4023 5.3591
O 8.7186 1.3213 1.7555
O 5.3108 -2.2847 3.2184
O 7.8095 -1.3213 4.4444
```

---

[2]
# ZnSnGe2O6
Calculated powder X-ray diffraction pattern, Cu Ka. Input: a structure optimized by DFT (GGA-PBE).
Neutral-atom scattering factors, no anomalous dispersion.

Most intense lines, 15° ≤ 2θ ≤ 90°, most intense first:
2theta  Rel. int.
28.75  100
26.60  74
31.31  58
33.06  53
25.04  51
33.28  38
29.44  33
34.41  29
24.87  29
51.38  29

Structural model:
```
40
Lattice="10.8479 0.0000 0.0000 0.0000 9.4890 0.0000 -0.7504 0.0000 5.4170" Properties=species:S:1:pos:R:3 pbc="T T T"
Zn 1.9129 0.1916 1.6711
Zn 1.5377 4.5529 4.3796
Zn 8.5597 4.9361 1.0374
Zn 8.1845 9.2974 3.7459
Sn 2.1990 1.0877 4.1081
Sn 2.5742 3.6568 1.3996
Sn 7.5232 5.8322 4.0174
Sn 7.8984 8.4013 1.3089
Ge 0.5327 6.4381 1.6189
Ge 0.1575 7.7954 4.3274
Ge 5.0755 6.1828 1.8999
Ge 4.7003 8.0507 4.6084
Ge 5.3971 1.4383 0.8086
Ge 5.0219 3.3062 3.5171
Ge 9.9400 1.6936 1.0896
Ge 9.5647 3.0509 3.7981
O 0.7778 1.8329 1.4475
O 0.4026 2.9116 4.1560
O 0.6242 6.3827 5.3941
O 0.9994 7.8508 2.6856
O 1.2461 5.0898 2.5021
O 0.8709 9.1437 5.2106
O 3.5243 1.5847 0.7338
O 3.1491 3.1598 3.4423
O 4.0936 0.1988 4.3242
O 4.4688 4.5457 1.6157
O 4.6623 6.8890 0.2753
O 4.2870 7.3445 2.9838
O 5.8104 2.1445 2.4332
O 5.4352 2.6000 5.1417
O 5.6286 4.9433 3.8013
O 6.0038 9.2902 1.0928
O 6.9483 6.3292 1.9747
O 6.5731 7.9044 4.6832
O 9.2265 0.3453 0.2064
O 8.8513 4.3992 2.9149
O 9.0980 1.6382 2.7314
O 9.4732 3.1063 0.0229
O 9.6949 6.5774 1.2610
O 9.3197 7.6561 3.9695
```

---

[3]
# SrGeO4
Calculated powder X-ray diffraction pattern, Cu Ka. Input: a structure optimized by DFT (GGA-PBE).
Neutral-atom scattering factors, no anomalous dispersion.

Most intense lines, 15° ≤ 2θ ≤ 90°, most intense first:
2theta  Rel. int.
24.88  100
31.10  98
47.88  83
35.47  36
72.56  20
57.58  20
58.80  19
60.98  15
64.84  15
81.55  14

Structural model:
```
12
Lattice="-3.5793 3.5793 3.4950 3.5793 -3.5793 3.4950 3.5793 3.5793 -3.4950" Properties=species:S:1:pos:R:3 pbc="T T T"
Sr 0.0000 0.0000 0.0000
Sr 0.0000 3.5793 1.7475
Ge 3.5793 0.0000 1.7475
Ge 0.0000 0.0000 3.4950
O 2.9017 2.4290 -1.1795
O 4.7296 0.6776 0.5680
O 0.6776 2.4290 -0.5680
O 0.6776 1.1503 2.3155
O 1.1503 -0.6776 4.6745
O 2.9017 1.1503 2.9270
O 2.4290 4.2569 1.1795
O -1.1503 2.9017 4.0630
```